Entry 1:
Theoretical powder X-ray diffraction pattern of NaLiGa2Cu for λ = 1.5418 Å (Cu Kα), from a DFT-relaxed cell (PBE, Alexandria).
Peak positions follow from Bragg's law for the DFT cell and can differ from measured ones.

Structure:
```
5
Lattice="4.6465 0.0000 0.0000 0.0000 4.6465 0.0000 0.0000 0.0000 4.8725" Properties=species:S:1:pos:R:3 pbc="T T T"
Na 0.0000 0.0000 0.0000
Li 2.3233 2.3233 0.0000
Ga 0.0000 2.3233 2.4363
Ga 2.3233 0.0000 2.4363
Cu 2.3233 2.3233 2.4363
```

Peak list (12 most intense, 10 to 90 degrees two-theta, in order of falling intensity)
- 2θ = 18.21°, I = 100
- 2θ = 38.76°, I = 51
- 2θ = 43.14°, I = 43
- 2θ = 26.51°, I = 37
- 2θ = 54.58°, I = 36
- 2θ = 32.88°, I = 31
- 2θ = 36.90°, I = 29
- 2θ = 68.94°, I = 17
- 2θ = 55.97°, I = 17
- 2θ = 59.37°, I = 16
- 2θ = 47.57°, I = 14
- 2θ = 19.10°, I = 13


Entry 2:
Theoretical powder X-ray diffraction pattern of Pm2Co15Cu2 for λ = 1.5418 Å (Cu Kα), from a DFT-relaxed cell (PBE, Alexandria).
Peak positions follow from Bragg's law for the DFT cell and can differ from measured ones.

Structure:
```
19
Lattice="4.2122 2.4319 4.0326 -4.2122 2.4319 4.0326 0.0000 -4.8638 4.0326" Properties=species:S:1:pos:R:3 pbc="T T T"
Pm 0.0000 0.0000 1.8908
Pm 0.0000 0.0000 10.2071
Co -2.1061 -1.2160 4.0326
Co 0.0000 -2.4256 3.8725
Co -2.1006 1.2128 3.8725
Co -1.2035 -2.0845 6.0490
Co -2.4069 0.0000 6.0490
Co -2.1006 -1.2128 8.2254
Co -2.1061 1.2160 8.0653
Co 1.2035 -2.0845 6.0489
Co 0.0000 2.4319 4.0326
Co -1.2035 2.0845 6.0489
Co 2.1006 1.2128 3.8725
Co 2.4069 0.0000 6.0489
Co 1.2035 2.0845 6.0489
Co 2.1006 -1.2128 8.2254
Co 0.0000 2.4256 8.2254
Cu 0.0000 0.0000 4.8337
Cu 0.0000 0.0000 7.2642
```

Peak list (12 most intense, 10 to 90 degrees two-theta, in order of falling intensity)
- 2θ = 43.45°, I = 100
- 2θ = 42.94°, I = 74
- 2θ = 44.96°, I = 51
- 2θ = 36.96°, I = 44
- 2θ = 38.67°, I = 38
- 2θ = 30.69°, I = 35
- 2θ = 48.78°, I = 27
- 2θ = 44.46°, I = 23
- 2θ = 63.53°, I = 22
- 2θ = 81.88°, I = 19
- 2θ = 62.74°, I = 18
- 2θ = 78.69°, I = 18


Entry 3:
Theoretical powder X-ray diffraction pattern of NdGa2SbO8 for λ = 1.5418 Å (Cu Kα), from a DFT-relaxed cell (PBE, Alexandria).
Peak positions follow from Bragg's law for the DFT cell and can differ from measured ones.

Structure:
```
12
Lattice="-3.4367 3.4367 3.3556 3.4367 -3.4367 3.3556 3.4367 3.4367 -3.3556" Properties=species:S:1:pos:R:3 pbc="T T T"
Nd 0.0000 0.0000 0.0000
Ga 3.4367 0.0000 1.6778
Ga 0.0000 0.0000 3.3556
Sb 0.0000 3.4367 1.6778
O 2.2945 0.0000 0.2474
O 4.5789 0.0000 0.2474
O 3.4367 2.0563 -1.2836
O 3.4367 -1.1422 3.1082
O 0.0000 1.3804 2.0720
O 3.4367 1.1422 3.1082
O 2.0563 3.4367 1.2836
O 1.3804 0.0000 4.6392
```

Peak list (12 most intense, 10 to 90 degrees two-theta, in order of falling intensity)
- 2θ = 25.93°, I = 100
- 2θ = 32.42°, I = 79
- 2θ = 50.00°, I = 65
- 2θ = 36.99°, I = 22
- 2θ = 18.48°, I = 20
- 2θ = 63.80°, I = 19
- 2θ = 61.50°, I = 16
- 2θ = 53.31°, I = 15
- 2θ = 60.21°, I = 13
- 2θ = 76.10°, I = 13
- 2θ = 87.76°, I = 12
- 2θ = 85.72°, I = 11


Entry 4:
Theoretical powder X-ray diffraction pattern of BaGa2Ag6 for λ = 1.5418 Å (Cu Kα), from a DFT-relaxed cell (PBE, Alexandria).
Peak positions follow from Bragg's law for the DFT cell and can differ from measured ones.

Structure:
```
9
Lattice="4.6238 0.0000 0.0000 0.0000 4.6238 0.0000 0.0000 0.0000 8.9648" Properties=species:S:1:pos:R:3 pbc="T T T"
Ba 0.0000 0.0000 0.0000
Ga 2.3119 2.3119 1.3761
Ga 2.3119 2.3119 7.5888
Ag 0.0000 0.0000 4.4824
Ag 0.0000 2.3119 2.7443
Ag 0.0000 2.3119 6.2205
Ag 2.3119 0.0000 2.7443
Ag 2.3119 0.0000 6.2205
Ag 2.3119 2.3119 4.4824
```

Peak list (12 most intense, 10 to 90 degrees two-theta, in order of falling intensity)
- 2θ = 33.94°, I = 100
- 2θ = 38.96°, I = 74
- 2θ = 40.91°, I = 55
- 2θ = 67.36°, I = 25
- 2θ = 56.27°, I = 24
- 2θ = 71.89°, I = 19
- 2θ = 35.78°, I = 15
- 2θ = 27.72°, I = 14
- 2θ = 75.81°, I = 11
- 2θ = 53.92°, I = 9
- 2θ = 65.93°, I = 8
- 2θ = 40.26°, I = 8


Entry 5:
Theoretical powder X-ray diffraction pattern of Dy3Ho2Tm6 for λ = 1.5418 Å (Cu Kα), from a DFT-relaxed cell (PBE, Alexandria).
Peak positions follow from Bragg's law for the DFT cell and can differ from measured ones.

Structure:
```
11
Lattice="1.7528 1.0120 31.3492 -1.7528 1.0120 31.3492 0.0000 -2.0240 31.3492" Properties=species:S:1:pos:R:3 pbc="T T T"
Dy 0.0000 0.0000 0.0000
Dy 0.0000 0.0000 25.6361
Dy 0.0000 0.0000 68.4115
Ho 0.0000 0.0000 42.7634
Ho 0.0000 0.0000 51.2842
Tm 0.0000 0.0000 8.5685
Tm 0.0000 0.0000 17.0868
Tm 0.0000 0.0000 34.2053
Tm 0.0000 0.0000 59.8423
Tm 0.0000 0.0000 76.9607
Tm 0.0000 0.0000 85.4791
```

Peak list (12 most intense, 10 to 90 degrees two-theta, in order of falling intensity)
- 2θ = 31.26°, I = 100
- 2θ = 36.29°, I = 67
- 2θ = 62.15°, I = 43
- 2θ = 31.39°, I = 33
- 2θ = 52.18°, I = 24
- 2θ = 52.35°, I = 24
- 2θ = 62.32°, I = 14
- 2θ = 65.22°, I = 12
- 2θ = 85.35°, I = 12
- 2θ = 88.15°, I = 11
- 2θ = 88.41°, I = 11
- 2θ = 77.06°, I = 8


Entry 6:
Theoretical powder X-ray diffraction pattern of Ca6AcMg2 for λ = 1.5418 Å (Cu Kα), from a DFT-relaxed cell (PBE, Alexandria).
Peak positions follow from Bragg's law for the DFT cell and can differ from measured ones.

Structure:
```
9
Lattice="5.2695 0.0000 0.0000 0.0000 5.2695 0.0000 0.0000 0.0000 12.7233" Properties=species:S:1:pos:R:3 pbc="T T T"
Ca 0.0000 0.0000 0.0000
Ca 0.0000 2.6348 2.9341
Ca 0.0000 2.6348 9.7893
Ca 2.6348 0.0000 2.9341
Ca 2.6348 0.0000 9.7893
Ca 2.6348 2.6348 0.0000
Ac 0.0000 0.0000 6.3617
Mg 2.6348 2.6348 4.9734
Mg 2.6348 2.6348 7.7499
```

Peak list (12 most intense, 10 to 90 degrees two-theta, in order of falling intensity)
- 2θ = 27.75°, I = 100
- 2θ = 18.22°, I = 36
- 2θ = 34.03°, I = 35
- 2θ = 21.90°, I = 33
- 2θ = 26.99°, I = 27
- 2θ = 57.14°, I = 25
- 2θ = 24.90°, I = 21
- 2θ = 32.89°, I = 20
- 2θ = 44.66°, I = 19
- 2θ = 16.82°, I = 19
- 2θ = 28.05°, I = 17
- 2θ = 49.45°, I = 16


Entry 7:
Theoretical powder X-ray diffraction pattern of Dy7IrS5 for λ = 1.5418 Å (Cu Kα), from a DFT-relaxed cell (PBE, Alexandria).
Peak positions follow from Bragg's law for the DFT cell and can differ from measured ones.

Structure:
```
26
Lattice="3.8512 0.0000 0.0000 0.0000 23.5172 0.0000 -1.9204 0.0000 6.4492" Properties=species:S:1:pos:R:3 pbc="T T T"
Dy 0.0043 0.0000 0.4938
Dy 0.0009 16.8322 1.7032
Dy -0.0015 6.7671 1.8840
Dy 0.0063 21.8696 3.8344
Dy 0.0056 1.6916 3.9888
Dy 0.0024 14.9327 5.1602
Dy 0.0003 8.4458 5.3884
Dy 1.9305 20.2044 1.0608
Dy 1.9284 3.1741 1.2890
Dy 1.9252 13.4502 2.4604
Dy 1.9245 10.1110 2.6148
Dy 1.9323 18.5257 4.5652
Dy 1.9299 5.0736 4.7460
Dy 1.9265 11.7586 5.9555
Ir 0.0007 11.9425 3.9544
Ir 1.9301 0.1839 2.4948
S -0.0027 14.3490 0.5900
S -0.0046 9.2301 0.7392
S 0.0054 19.3386 2.8077
S 0.0034 4.2366 2.9776
S 0.0063 17.6154 6.3346
S 1.9244 5.8569 0.1146
S 1.9274 15.9952 3.4716
S 1.9254 7.5800 3.6415
S 1.9354 20.9887 5.7100
S 1.9335 2.5904 5.8593
```

Peak list (12 most intense, 10 to 90 degrees two-theta, in order of falling intensity)
- 2θ = 29.99°, I = 100
- 2θ = 32.12°, I = 98
- 2θ = 33.26°, I = 57
- 2θ = 56.93°, I = 45
- 2θ = 28.56°, I = 37
- 2θ = 42.38°, I = 33
- 2θ = 47.20°, I = 31
- 2θ = 30.80°, I = 31
- 2θ = 46.44°, I = 24
- 2θ = 46.57°, I = 22
- 2θ = 28.71°, I = 19
- 2θ = 33.50°, I = 18


Entry 8:
Theoretical powder X-ray diffraction pattern of In5GaS8 for λ = 1.5418 Å (Cu Kα), from a DFT-relaxed cell (PBE, Alexandria).
Peak positions follow from Bragg's law for the DFT cell and can differ from measured ones.

Structure:
```
14
Lattice="-4.5953 4.5953 4.0103 4.5953 -4.5953 4.0103 4.5953 4.5953 -4.0103" Properties=species:S:1:pos:R:3 pbc="T T T"
In 0.0000 0.0000 0.0000
In 2.6032 2.2989 -0.9689
In 2.2964 -1.9921 4.9792
In 1.9921 2.2964 3.0414
In 2.2989 6.5874 0.9689
Ga 4.5953 0.0000 2.0051
S 2.4589 -0.3308 2.8908
S 0.3572 2.2789 0.9576
S 4.2645 2.1363 1.1195
S 2.1363 4.9260 -1.1195
S -2.3163 4.2381 3.0527
S -0.3572 6.9116 0.9576
S 0.3308 2.4589 5.1297
S 2.3163 4.9525 3.0527
```

Peak list (12 most intense, 10 to 90 degrees two-theta, in order of falling intensity)
- 2θ = 26.11°, I = 100
- 2θ = 38.25°, I = 97
- 2θ = 39.21°, I = 54
- 2θ = 24.33°, I = 54
- 2θ = 19.32°, I = 40
- 2θ = 49.60°, I = 37
- 2θ = 27.45°, I = 32
- 2θ = 47.72°, I = 32
- 2θ = 14.66°, I = 24
- 2θ = 31.25°, I = 22
- 2θ = 64.98°, I = 21
- 2θ = 29.56°, I = 21


Entry 9:
Theoretical powder X-ray diffraction pattern of Na2La2Br for λ = 1.5418 Å (Cu Kα), from a DFT-relaxed cell (PBE, Alexandria).
Peak positions follow from Bragg's law for the DFT cell and can differ from measured ones.

Structure:
```
10
Lattice="7.7806 0.0000 0.0000 0.0000 7.7806 0.0000 0.0000 0.0000 6.3857" Properties=species:S:1:pos:R:3 pbc="T T T"
Na 1.2170 2.6732 0.0000
Na 2.6732 6.5635 0.0000
Na 5.1073 1.2170 0.0000
Na 6.5635 5.1073 0.0000
La 1.1207 5.0110 3.1928
La 2.7696 1.1207 3.1928
La 5.0110 6.6599 3.1928
La 6.6599 2.7696 3.1928
Br 0.0000 0.0000 3.1928
Br 3.8903 3.8903 3.1928
```

Peak list (12 most intense, 10 to 90 degrees two-theta, in order of falling intensity)
- 2θ = 13.87°, I = 100
- 2θ = 29.23°, I = 89
- 2θ = 27.94°, I = 34
- 2θ = 46.61°, I = 31
- 2θ = 25.60°, I = 30
- 2θ = 39.24°, I = 29
- 2θ = 36.52°, I = 28
- 2θ = 38.26°, I = 21
- 2θ = 50.25°, I = 19
- 2θ = 66.33°, I = 13
- 2θ = 57.23°, I = 9
- 2θ = 70.29°, I = 8


Entry 10:
Theoretical powder X-ray diffraction pattern of La3SI3 for λ = 1.5418 Å (Cu Kα), from a DFT-relaxed cell (PBE, Alexandria).
Peak positions follow from Bragg's law for the DFT cell and can differ from measured ones.

Structure:
```
28
Lattice="-6.2134 6.2134 6.2134 6.2134 -6.2134 6.2134 6.2134 6.2134 -6.2134" Properties=species:S:1:pos:R:3 pbc="T T T"
La 1.7947 1.5533 -1.3120
La 7.5254 1.7947 -1.5533
La 1.5533 -1.3120 1.7947
La 4.9014 4.4187 -1.5533
La 4.4187 1.5533 1.3120
La -1.3120 1.7947 1.5533
La 4.4187 -1.5533 4.9014
La 1.5533 1.3120 4.4187
La 1.3120 4.4187 1.5533
La 1.7947 -1.5533 7.5254
La -1.5533 7.5254 1.7947
La -1.5533 4.9014 4.4187
S 4.6600 1.5533 -1.5533
S 1.5533 1.5533 1.5533
S 1.5533 -1.5533 4.6600
S -1.5533 4.6600 1.5533
I 7.7667 1.4224 1.6843
I 7.7667 -1.4224 4.5291
I 4.5291 7.7667 -1.4224
I 4.7910 1.6843 4.6600
I 4.6600 4.7910 1.6843
I 1.6843 7.7667 1.4224
I 7.6358 4.5291 4.6600
I 1.6843 4.6600 4.7910
I 1.4224 1.6843 7.7667
I 4.6600 7.6358 4.5291
I -1.4224 4.5291 7.7667
I 4.5291 4.6600 7.6358
```

Peak list (12 most intense, 10 to 90 degrees two-theta, in order of falling intensity)
- 2θ = 28.74°, I = 100
- 2θ = 41.09°, I = 68
- 2θ = 26.84°, I = 41
- 2θ = 33.83°, I = 25
- 2θ = 67.40°, I = 22
- 2θ = 50.91°, I = 22
- 2θ = 54.24°, I = 20
- 2θ = 58.48°, I = 17
- 2θ = 74.87°, I = 15
- 2θ = 59.51°, I = 9
- 2θ = 17.48°, I = 7
- 2θ = 70.24°, I = 7


Entry 11:
Theoretical powder X-ray diffraction pattern of La2Tb2Tm3 for λ = 1.5418 Å (Cu Kα), from a DFT-relaxed cell (PBE, Alexandria).
Peak positions follow from Bragg's law for the DFT cell and can differ from measured ones.

Structure:
```
14
Lattice="5.7166 0.0000 0.0000 0.0000 23.2953 0.0000 0.0000 0.0000 3.4724" Properties=species:S:1:pos:R:3 pbc="T T T"
La 0.0000 3.4276 0.0000
La 0.0000 19.8677 0.0000
La 2.8583 8.2200 0.0000
La 2.8583 15.0752 0.0000
Tb 0.0000 9.9647 1.7362
Tb 0.0000 13.3306 1.7362
Tb 2.8583 1.6829 1.7362
Tb 2.8583 21.6123 1.7362
Tm 0.0000 0.0000 1.7362
Tm 0.0000 6.6665 1.7362
Tm 0.0000 16.6287 1.7362
Tm 2.8583 4.9811 1.7362
Tm 2.8583 11.6476 1.7362
Tm 2.8583 18.3142 1.7362
```

Peak list (12 most intense, 10 to 90 degrees two-theta, in order of falling intensity)
- 2θ = 31.10°, I = 100
- 2θ = 32.29°, I = 50
- 2θ = 31.29°, I = 50
- 2θ = 62.49°, I = 27
- 2θ = 29.96°, I = 26
- 2θ = 40.74°, I = 25
- 2θ = 30.36°, I = 23
- 2θ = 25.65°, I = 20
- 2θ = 55.58°, I = 19
- 2θ = 43.87°, I = 19
- 2θ = 55.18°, I = 14
- 2θ = 62.60°, I = 14


What did the second record say?
Theoretical powder X-ray diffraction pattern of Pm2Co15Cu2 for λ = 1.5418 Å (Cu Kα), from a DFT-relaxed cell (PBE, Alexandria).
Peak positions follow from Bragg's law for the DFT cell and can differ from measured ones.

Structure:
```
19
Lattice="4.2122 2.4319 4.0326 -4.2122 2.4319 4.0326 0.0000 -4.8638 4.0326" Properties=species:S:1:pos:R:3 pbc="T T T"
Pm 0.0000 0.0000 1.8908
Pm 0.0000 0.0000 10.2071
Co -2.1061 -1.2160 4.0326
Co 0.0000 -2.4256 3.8725
Co -2.1006 1.2128 3.8725
Co -1.2035 -2.0845 6.0490
Co -2.4069 0.0000 6.0490
Co -2.1006 -1.2128 8.2254
Co -2.1061 1.2160 8.0653
Co 1.2035 -2.0845 6.0489
Co 0.0000 2.4319 4.0326
Co -1.2035 2.0845 6.0489
Co 2.1006 1.2128 3.8725
Co 2.4069 0.0000 6.0489
Co 1.2035 2.0845 6.0489
Co 2.1006 -1.2128 8.2254
Co 0.0000 2.4256 8.2254
Cu 0.0000 0.0000 4.8337
Cu 0.0000 0.0000 7.2642
```

Peak list (12 most intense, 10 to 90 degrees two-theta, in order of falling intensity)
- 2θ = 43.45°, I = 100
- 2θ = 42.94°, I = 74
- 2θ = 44.96°, I = 51
- 2θ = 36.96°, I = 44
- 2θ = 38.67°, I = 38
- 2θ = 30.69°, I = 35
- 2θ = 48.78°, I = 27
- 2θ = 44.46°, I = 23
- 2θ = 63.53°, I = 22
- 2θ = 81.88°, I = 19
- 2θ = 62.74°, I = 18
- 2θ = 78.69°, I = 18